Entry 1:
# Ga2CoNi
Theoretical PXRD pattern, Cu Kα, 1.54184 Å. Input: DFT lattice parameters and positions (PBE).

Crystal structure
```
Ga2CoNi
1.0
2.8968 0.0000 0.0000
0.0000 2.8968 0.0000
0.0000 0.0000 5.8030
Ga Co Ni
2 1 1
Cartesian
0.0000 0.0000 1.4363
0.0000 0.0000 4.3667
1.4484 1.4484 0.0000
1.4484 1.4484 2.9015
```

Top 4 peaks for 2θ from 5° to 70°, low angle first:
30.85 deg, d = 2.898 Å, I = 6; 44.19 deg, d = 2.049 Å, I = 1000; 64.20 deg, d = 1.451 Å, I = 51; 64.32 deg, d = 1.448 Å, I = 102

=====

Entry 2:
# GaCo2Ni
Theoretical PXRD pattern, Cu Kα, 1.54184 Å. Input: DFT lattice parameters and positions (PBE).

Crystal structure
```
GaCo2Ni
1.0
2.8878 0.0000 0.0000
0.0000 2.8878 0.0000
0.0000 0.0000 5.5122
Ga Co Ni
1 2 1
Cartesian
0.0000 0.0000 0.0000
1.4439 1.4439 1.4145
1.4439 1.4439 4.0977
0.0000 0.0000 2.7561
```

Top 5 peaks for 2θ from 5° to 70°, low angle first:
35.08 deg, d = 2.558 Å, I = 5; 44.36 deg, d = 2.042 Å, I = 542; 45.49 deg, d = 1.994 Å, I = 1000; 64.54 deg, d = 1.444 Å, I = 164; 68.03 deg, d = 1.378 Å, I = 68

=====

Entry 3:
# GaCo2Ni
Theoretical PXRD pattern, Cu Kα, 1.54184 Å. Input: DFT lattice parameters and positions (PBE).

Crystal structure
```
GaCo2Ni
1.0
-1.7944 1.7944 3.5621
1.7944 -1.7944 3.5621
1.7944 1.7944 -3.5621
Ga Co Ni
1 2 1
Cartesian
0.0000 0.0000 0.0000
1.7944 0.0000 1.7810
0.0000 1.7944 1.7810
0.0000 0.0000 3.5621
```

Top 3 peaks for 2θ from 5° to 70°, low angle first:
43.80 deg, d = 2.067 Å, I = 1000; 50.89 deg, d = 1.794 Å, I = 314; 51.30 deg, d = 1.781 Å, I = 153

=====

Entry 4:
# NpGa5Co
Theoretical PXRD pattern, Cu Kα, 1.54184 Å. Input: DFT lattice parameters and positions (PBE).

Crystal structure
```
NpGa5Co
1.0
4.2182 0.0000 0.0000
0.0000 4.2182 0.0000
0.0000 0.0000 6.6905
Np Ga Co
1 5 1
Cartesian
0.0000 0.0000 0.0000
0.0000 2.1091 2.0416
0.0000 2.1091 4.6489
2.1091 0.0000 2.0416
2.1091 0.0000 4.6489
2.1091 2.1091 0.0000
0.0000 0.0000 3.3453
```

Top 10 peaks for 2θ from 5° to 70°, low angle first:
13.23 deg, d = 6.691 Å, I = 171; 21.06 deg, d = 4.218 Å, I = 309; 24.95 deg, d = 3.568 Å, I = 73; 32.88 deg, d = 2.724 Å, I = 499; 34.21 deg, d = 2.621 Å, I = 185; 40.51 deg, d = 2.227 Å, I = 1000; 42.88 deg, d = 2.109 Å, I = 449; 55.96 deg, d = 1.643 Å, I = 93; 60.41 deg, d = 1.532 Å, I = 184; 62.25 deg, d = 1.491 Å, I = 146

=====

Entry 5:
# PrGa2Co3
Theoretical PXRD pattern, Cu Kα, 1.54184 Å. Input: DFT lattice parameters and positions (PBE).

Crystal structure
```
PrGa2Co3
1.0
9.1717 0.0000 0.0000
-4.5859 7.9429 0.0000
0.0000 0.0000 3.8249
Pr Ga Co
3 6 9
Cartesian
0.0000 0.0000 0.0000
0.0000 5.2953 1.9125
4.5859 2.6476 1.9125
-1.4540 2.5184 1.9125
-3.1318 5.4245 1.9125
2.9080 0.0000 1.9125
1.4540 2.5184 1.9125
6.2637 0.0000 1.9125
3.1318 5.4245 1.9125
-2.2929 3.9715 0.0000
0.0000 2.8991 0.0000
-2.0751 6.4934 0.0000
2.5107 1.4496 0.0000
4.5859 0.0000 0.0000
2.2929 3.9715 0.0000
2.0751 6.4934 0.0000
6.6610 1.4496 0.0000
4.5859 5.0438 0.0000
```

Top 10 peaks for 2θ from 5° to 70°, low angle first:
25.85 deg, d = 3.446 Å, I = 277; 32.50 deg, d = 2.755 Å, I = 385; 33.86 deg, d = 2.648 Å, I = 645; 38.11 deg, d = 2.362 Å, I = 630; 39.29 deg, d = 2.293 Å, I = 528; 41.48 deg, d = 2.177 Å, I = 1000; 46.16 deg, d = 1.967 Å, I = 419; 47.56 deg, d = 1.912 Å, I = 444; 59.64 deg, d = 1.550 Å, I = 254; 63.36 deg, d = 1.468 Å, I = 407

=====

Entry 6:
# Pr8Ga3Co
Theoretical PXRD pattern, Cu Kα, 1.54184 Å. Input: DFT lattice parameters and positions (PBE).

Crystal structure
```
Pr8Ga3Co
1.0
10.5859 0.0000 0.0000
-5.2929 9.1677 0.0000
0.0000 0.0000 7.0328
Pr Ga Co
16 6 2
Cartesian
0.0000 0.0000 0.7165
0.0000 0.0000 4.2329
-2.0502 4.9281 0.7964
0.0000 3.1243 5.7475
-2.5872 7.6055 5.7475
0.0000 6.1118 3.5164
2.7057 1.5622 2.2311
2.0502 4.9281 0.7964
0.0000 8.4792 0.7964
5.2929 0.6885 4.3128
3.2427 4.2396 4.3128
2.5872 7.6055 5.7475
5.2930 3.0559 0.0000
7.8802 1.5622 2.2311
5.2929 6.0433 2.2311
7.3432 4.2396 4.3128
0.0000 3.0160 2.5085
-2.6810 7.6596 2.5085
2.6120 1.5080 6.0249
2.6810 7.6596 2.5085
7.9739 1.5080 6.0249
5.2929 6.1516 6.0249
0.0000 6.1118 6.2094
5.2930 3.0559 2.6930
```

Top 10 peaks for 2θ from 5° to 70°, low angle first:
23.16 deg, d = 3.840 Å, I = 132; 28.72 deg, d = 3.108 Å, I = 463; 30.52 deg, d = 2.929 Å, I = 211; 31.93 deg, d = 2.803 Å, I = 189; 32.08 deg, d = 2.790 Å, I = 1000; 33.87 deg, d = 2.646 Å, I = 964; 47.34 deg, d = 1.920 Å, I = 178; 58.53 deg, d = 1.577 Å, I = 116; 58.99 deg, d = 1.566 Å, I = 162; 63.53 deg, d = 1.464 Å, I = 138

=====

Entry 7:
# PrGaCo
Theoretical PXRD pattern, Cu Kα, 1.54184 Å. Input: DFT lattice parameters and positions (PBE).

Crystal structure
```
PrGaCo
1.0
8.2373 0.0000 0.0000
0.0000 4.2210 0.0000
0.0000 0.0000 7.7669
Pr Ga Co
4 4 4
Cartesian
1.7586 1.0553 0.5708
2.3600 3.1658 4.4542
5.8773 1.0553 3.3127
6.4787 3.1658 7.1962
0.0146 1.0553 5.6390
4.1040 3.1658 1.7556
4.1333 1.0553 6.0114
8.2227 3.1658 2.1279
0.3354 1.0553 3.2781
3.7832 3.1658 7.1616
4.4541 1.0553 0.6053
7.9019 3.1658 4.4888
```

Top 10 peaks for 2θ from 5° to 70°, low angle first:
25.36 deg, d = 3.513 Å, I = 310; 26.35 deg, d = 3.382 Å, I = 714; 30.32 deg, d = 2.948 Å, I = 188; 31.67 deg, d = 2.826 Å, I = 252; 32.49 deg, d = 2.756 Å, I = 374; 34.65 deg, d = 2.589 Å, I = 252; 40.89 deg, d = 2.207 Å, I = 1000; 42.85 deg, d = 2.111 Å, I = 309; 61.60 deg, d = 1.506 Å, I = 178; 62.59 deg, d = 1.484 Å, I = 145

=====

Entry 8:
# PrGaCo
Theoretical PXRD pattern, Cu Kα, 1.54184 Å. Input: DFT lattice parameters and positions (PBE).

Crystal structure
```
PrGaCo
1.0
7.1103 0.0000 0.0000
0.0000 4.3688 0.0000
0.0000 0.0000 7.5168
Pr Ga Co
4 4 4
Cartesian
0.1489 1.0922 1.4192
3.4063 3.2766 5.1776
3.7040 1.0922 2.3392
6.9615 3.2766 6.0976
1.1777 1.0922 4.3432
2.3775 3.2766 0.5847
4.7328 1.0922 6.9321
5.9326 3.2766 3.1737
1.3964 3.2766 2.9809
2.1588 1.0922 6.7394
4.9515 3.2766 0.7775
5.7139 1.0922 4.5359
```

Top 10 peaks for 2θ from 5° to 70°, low angle first:
23.55 deg, d = 3.777 Å, I = 120; 33.89 deg, d = 2.645 Å, I = 606; 34.67 deg, d = 2.587 Å, I = 1000; 38.08 deg, d = 2.363 Å, I = 156; 39.88 deg, d = 2.260 Å, I = 213; 41.33 deg, d = 2.184 Å, I = 304; 41.55 deg, d = 2.174 Å, I = 276; 57.30 deg, d = 1.608 Å, I = 127; 58.78 deg, d = 1.571 Å, I = 131; 67.07 deg, d = 1.395 Å, I = 187

=====

Entry 9:
# PrGa2Co3
Theoretical PXRD pattern, Cu Kα, 1.54184 Å. Input: DFT lattice parameters and positions (PBE).

Crystal structure
```
PrGa2Co3
1.0
5.3588 0.0000 0.0000
-2.6794 4.6408 0.0000
0.0000 0.0000 3.7370
Pr Ga Co
1 2 3
Cartesian
0.0000 0.0000 0.0000
0.0000 3.0939 0.0000
2.6794 1.5469 0.0000
-1.3397 2.3204 1.8685
2.6794 0.0000 1.8685
1.3397 2.3204 1.8685
```

Top 10 peaks for 2θ from 5° to 70°, low angle first:
30.72 deg, d = 2.911 Å, I = 316; 33.44 deg, d = 2.679 Å, I = 379; 38.81 deg, d = 2.320 Å, I = 317; 41.47 deg, d = 2.178 Å, I = 1000; 46.04 deg, d = 1.971 Å, I = 79; 48.73 deg, d = 1.869 Å, I = 188; 58.09 deg, d = 1.588 Å, I = 100; 60.40 deg, d = 1.533 Å, I = 138; 63.97 deg, d = 1.455 Å, I = 136; 65.28 deg, d = 1.429 Å, I = 250

=====

Entry 10:
# PrGa8Co2
Theoretical PXRD pattern, Cu Kα, 1.54184 Å. Input: DFT lattice parameters and positions (PBE).

Crystal structure
```
PrGa8Co2
1.0
12.6208 0.0000 0.0000
0.0000 14.2936 0.0000
0.0000 0.0000 4.0683
Pr Ga Co
4 32 8
Cartesian
1.9959 2.5731 0.0000
4.3145 9.7200 0.0000
8.3063 4.5737 0.0000
10.6250 11.7205 0.0000
0.0000 0.0000 0.0000
0.0000 7.1468 2.0341
0.2842 12.3930 2.0341
0.6209 4.5766 2.0341
1.2281 10.6642 0.0000
2.0366 6.4993 0.0000
2.0507 8.8601 2.0341
2.1266 0.1356 2.0341
2.9959 11.8007 2.0341
3.3145 4.6538 2.0341
4.1838 7.2824 2.0341
4.2597 1.7133 2.0341
4.2738 13.6462 0.0000
5.0823 3.5173 0.0000
5.6896 11.7235 2.0341
6.0262 5.2462 2.0341
6.3104 0.0000 2.0341
6.3104 7.1468 0.0000
6.5947 9.0475 2.0341
6.9313 2.5702 2.0341
7.5385 10.7763 0.0000
8.3470 0.6475 0.0000
8.3612 12.5804 2.0341
8.4370 7.0112 2.0341
9.3064 9.6398 2.0341
9.6249 2.4930 2.0341
10.4942 14.1580 2.0341
10.5701 5.4335 2.0341
10.5842 7.7943 0.0000
11.3927 3.6295 0.0000
12.0000 9.7170 2.0341
12.3366 1.9006 2.0341
0.4513 8.4775 0.0000
1.9335 12.9180 0.0000
4.3769 5.7711 0.0000
5.8591 1.3307 0.0000
6.7617 12.9629 0.0000
8.2439 8.5225 0.0000
10.6874 1.3757 0.0000
12.1695 5.8161 0.0000
```

Top 10 peaks for 2θ from 5° to 70°, low angle first:
34.14 deg, d = 2.626 Å, I = 604; 36.03 deg, d = 2.493 Å, I = 1000; 36.59 deg, d = 2.456 Å, I = 316; 43.92 deg, d = 2.062 Å, I = 235; 44.07 deg, d = 2.055 Å, I = 333; 44.31 deg, d = 2.044 Å, I = 243; 44.54 deg, d = 2.034 Å, I = 512; 46.76 deg, d = 1.943 Å, I = 248; 64.34 deg, d = 1.448 Å, I = 145; 66.56 deg, d = 1.405 Å, I = 170

=====

Entry 11:
# Ga2CoRu
Theoretical PXRD pattern, Cu Kα, 1.54184 Å. Input: DFT lattice parameters and positions (PBE).

Crystal structure
```
Ga2CoRu
1.0
0.0000 2.9657 2.9657
2.9657 0.0000 2.9657
2.9657 2.9657 0.0000
Ga Co Ru
2 1 1
Cartesian
1.4828 1.4828 1.4828
4.4485 4.4485 4.4485
0.0000 0.0000 0.0000
2.9657 2.9657 2.9657
```

Top 6 peaks for 2θ from 5° to 70°, low angle first:
26.02 deg, d = 3.424 Å, I = 45; 30.13 deg, d = 2.966 Å, I = 5; 43.14 deg, d = 2.097 Å, I = 1000; 51.07 deg, d = 1.788 Å, I = 22; 62.65 deg, d = 1.483 Å, I = 158; 69.02 deg, d = 1.361 Å, I = 10

=====

Entry 12:
# Ga2CoS4
Theoretical PXRD pattern, Cu Kα, 1.54184 Å. Input: DFT lattice parameters and positions (PBE).

Crystal structure
```
Ga2CoS4
1.0
-2.6460 2.6460 5.2569
2.6460 -2.6460 5.2569
2.6460 2.6460 -5.2569
Ga Co S
2 1 4
Cartesian
0.0000 0.0000 0.0000
0.0000 2.6460 2.6284
0.0000 0.0000 5.2569
1.3330 -1.2723 3.9241
1.3737 1.3130 1.3328
1.3130 3.9183 -1.3328
1.2723 1.3330 6.5896
```

Top 10 peaks for 2θ from 5° to 70°, low angle first:
16.87 deg, d = 5.257 Å, I = 56; 18.77 deg, d = 4.727 Å, I = 235; 23.78 deg, d = 3.742 Å, I = 54; 29.30 deg, d = 3.049 Å, I = 1000; 30.60 deg, d = 2.922 Å, I = 87; 39.01 deg, d = 2.309 Å, I = 91; 48.67 deg, d = 1.871 Å, I = 213; 48.84 deg, d = 1.865 Å, I = 422; 57.82 deg, d = 1.595 Å, I = 262; 58.13 deg, d = 1.587 Å, I = 129